Theoretical X-ray powder pattern of PmSm2Dy4Y2 for a wavelength of 1.5418 Å, from a DFT-relaxed cell (GGA-PBE, Alexandria).
No peak broadening, texture or thermal motion is included.

Atomic structure:
```
data_PmSm2Dy4Y2
_cell_length_a 18.7449
_cell_length_b 3.6115
_cell_length_c 9.5960
_cell_angle_alpha 90.00
_cell_angle_beta 115.72
_cell_angle_gamma 90.00
_symmetry_space_group_name_H-M 'C 1 2/m 1'
_symmetry_Int_Tables_number 12
_symmetry_space_group_name_Hall '-C 2y'
loop_
_atom_site_label
_atom_site_type_symbol
_atom_site_fract_x
_atom_site_fract_y
_atom_site_fract_z
Pm1 Pm 0.0000 0.0000 0.0000
Sm1 Sm 0.1669 0.5000 0.0015
Dy1 Dy 0.0191 0.5000 0.3351
Dy2 Dy 0.1857 0.0000 0.3361
Y1 Y 0.1472 0.0000 0.6645
```

Most intense lines, 2θ from 10° to 90°, by angle:
| 2θ (°) | Rel. int. |
| --- | --- |
| 28.77 | 40.1 |
| 31.03 | 50.2 |
| 31.78 | 100.0 |
| 33.47 | 90.8 |
| 50.58 | 38.4 |
| 57.86 | 19.6 |
| 60.53 | 44.7 |
| 86.42 | 18.3 |